Diffraction record for Sr4Fe4Bi5PbO18. The powder diffraction line list is simulated, not measured: it uses the GGA+U geometry in the Materials Project and Cu Kα.
No peak broadening, texture or thermal motion is included.

Structure:
```
data_Sr4Fe4Bi5PbO18
_cell_length_a 5.4722
_cell_length_b 5.4725
_cell_length_c 31.2819
_cell_angle_alpha 90.00
_cell_angle_beta 90.00
_cell_angle_gamma 90.00
_space_group_name_H-M_alt 'A m m 2'
_space_group_IT_number 38
_space_group_name_Hall 'A 2 -2'
loop_
_atom_site_label
_atom_site_type_symbol
_atom_site_fract_x
_atom_site_fract_y
_atom_site_fract_z
Sr1 Sr 0.0000 0.0000 0.9999
Sr2 Sr 0.0000 0.0000 0.2424
Sr3 Sr 0.5000 0.0000 0.5000
Sr4 Sr 0.5000 0.0000 0.7428
Fe1 Fe 0.0000 0.0000 0.5555
Fe2 Fe 0.0000 0.0000 0.6844
Fe3 Fe 0.5000 0.0000 0.0586
Fe4 Fe 0.5000 0.0000 0.1855
Bi1 Bi 0.0000 0.0000 0.1191
Bi2 Bi 0.0000 0.0000 0.8281
Bi3 Bi 0.5000 0.0000 0.3280
Bi4 Bi 0.5000 0.0000 0.6210
Bi5 Bi 0.5000 0.0000 0.9154
Pb1 Pb 0.0000 0.0000 0.4154
O1 O 0.0000 0.0000 0.3252
O2 O 0.0000 0.0000 0.4895
O3 O 0.0000 0.0000 0.6212
O4 O 0.0000 0.0000 0.7597
O5 O 0.0000 0.0000 0.9180
O6 O 0.2505 0.2483 0.0591
O7 O 0.2508 0.2492 0.6866
O8 O 0.5000 0.0000 0.1221
O9 O 0.5000 0.0000 0.2593
O10 O 0.5000 0.0000 0.4178
O11 O 0.5000 0.0000 0.8275
O12 O 0.5000 0.0000 0.9848
```

Largest 10 diffraction maxima, in order of rising 2θ, 10° ≤ 2θ ≤ 90°:
| 2θ/deg | I_rel | h k l |
| --- | --- | --- |
| 11.31 | 18 | 0 0 4 |
| 24.54 | 36 | 1 1 3 |
| 27.10 | 16 | 1 1 5 |
| 28.53 | 16 | 0 0 10 |
| 30.56 | 100 | 1 1 7 |
| 32.73 | 69 | 2 0 0 |
| 43.97 | 27 | 2 0 10 |
| 46.96 | 32 | 2 2 0 |
| 55.28 | 16 | 1 1 17 |
| 57.07 | 36 | 3 1 7 |

Diffraction record for LiCr3P3O13. The powder diffraction line list is simulated, not measured: it uses the GGA+U geometry in the Materials Project and Cu Kα.
No peak broadening, texture or thermal motion is included.

Structure:
```
data_LiCr3P3O13
_cell_length_a 7.4216
_cell_length_b 6.3135
_cell_length_c 10.5184
_cell_angle_alpha 90.00
_cell_angle_beta 100.13
_cell_angle_gamma 90.00
_space_group_name_H-M_alt 'P 1 21/m 1'
_space_group_IT_number 11
_space_group_name_Hall '-P 2yb'
loop_
_atom_site_label
_atom_site_type_symbol
_atom_site_fract_x
_atom_site_fract_y
_atom_site_fract_z
Li1 Li 0.1155 0.2500 0.1387
Cr1 Cr 0.1360 0.2500 0.8021
Cr2 Cr 0.2694 0.7500 0.4486
Cr3 Cr 0.5000 0.0000 0.0000
P1 P 0.1956 0.7500 0.1224
P2 P 0.2322 0.7500 0.7703
P3 P 0.2874 0.2500 0.5220
O1 O 0.0040 0.2500 0.9549
O2 O 0.1151 0.5601 0.7977
O3 O 0.1481 0.7500 0.2619
O4 O 0.1655 0.2500 0.6269
O5 O 0.2384 0.0548 0.4351
O6 O 0.2917 0.7500 0.6391
O7 O 0.2975 0.5448 0.0997
O8 O 0.3671 0.2500 0.9074
O9 O 0.4121 0.7500 0.8795
O10 O 0.4895 0.2500 0.5910
```

Largest 10 diffraction maxima, in order of rising 2θ, 10° ≤ 2θ ≤ 90°:
| 2θ/deg | I_rel | h k l |
| --- | --- | --- |
| 13.55 | 37 | 1 0 -1 |
| 16.44 | 75 | 0 1 1 |
| 19.19 | 100 | 1 0 -2 |
| 24.37 | 65 | 2 0 0 |
| 27.28 | 67 | 2 0 1 |
| 28.27 | 66 | 0 2 0 |
| 29.53 | 56 | 0 1 3 |
| 30.53 | 59 | 1 0 3 |
| 32.40 | 52 | 2 0 -3 |
| 32.67 | 62 | 1 2 1 |

Diffraction record for Li4Co3Sn2Sb3O16. The powder diffraction line list is simulated, not measured: it uses the GGA+U geometry in the Materials Project and Cu Kα.
No peak broadening, texture or thermal motion is included.

Structure:
```
data_Li4Co3Sn2Sb3O16
_cell_length_a 10.8090
_cell_length_b 6.2032
_cell_length_c 9.9143
_cell_angle_alpha 90.00
_cell_angle_beta 90.83
_cell_angle_gamma 90.00
_space_group_name_H-M_alt 'C 1 m 1'
_space_group_IT_number 8
_space_group_name_Hall 'C -2y'
loop_
_atom_site_label
_atom_site_type_symbol
_atom_site_fract_x
_atom_site_fract_y
_atom_site_fract_z
Li1 Li 0.0000 0.0000 0.0000
Li2 Li 0.0051 0.0000 0.5201
Li3 Li 0.1682 0.5000 0.0947
Li4 Li 0.3321 0.0000 0.6174
Co1 Co 0.0756 0.2559 0.7910
Co2 Co 0.1622 0.0000 0.2885
Sn1 Sn 0.1483 0.5000 0.5252
Sn2 Sn 0.3152 0.0000 0.9997
Sb1 Sb 0.3214 0.5000 0.7881
Sb2 Sb 0.4083 0.2471 0.2870
O1 O 0.0086 0.5000 0.6606
O2 O 0.0697 0.2435 0.4018
O3 O 0.1505 0.0000 0.9074
O4 O 0.1690 0.5000 0.8965
O5 O 0.2415 0.2802 0.6592
O6 O 0.2581 0.2248 0.1631
O7 O 0.3316 0.5000 0.3994
O8 O 0.3329 0.0000 0.3975
O9 O 0.4040 0.2612 0.9084
O10 O 0.4771 0.0000 0.1638
O11 O 0.4836 0.5000 0.7003
O12 O 0.4900 0.5000 0.1875
```

Largest 10 diffraction maxima, in order of rising 2θ, 10° ≤ 2θ ≤ 90°:
| 2θ/deg | I_rel | h k l |
| --- | --- | --- |
| 17.90 | 87 | 0 0 2 |
| 18.59 | 81 | 2 0 -1 |
| 18.71 | 100 | 1 1 -1 |
| 18.82 | 76 | 1 1 1 |
| 24.53 | 50 | 2 0 2 |
| 31.91 | 64 | 1 1 3 |
| 34.14 | 97 | 3 1 2 |
| 34.50 | 79 | 4 0 1 |
| 34.61 | 60 | 2 2 1 |
| 59.33 | 55 | 6 2 0 |

Diffraction record for LiMnP3HO10. The powder diffraction line list is simulated, not measured: it uses the GGA+U geometry in the Materials Project and Cu Kα.
No peak broadening, texture or thermal motion is included.

Structure:
```
data_LiMnP3HO10
_cell_length_a 7.4792
_cell_length_b 7.5182
_cell_length_c 9.3846
_cell_angle_alpha 75.58
_cell_angle_beta 74.63
_cell_angle_gamma 67.93
_space_group_name_H-M_alt 'P 1'
_space_group_IT_number 1
_space_group_name_Hall 'P 1'
loop_
_atom_site_label
_atom_site_type_symbol
_atom_site_fract_x
_atom_site_fract_y
_atom_site_fract_z
Li1 Li 0.0000 0.0000 0.0000
Li2 Li 0.4994 0.4973 0.5001
Mn1 Mn 0.0448 0.4490 0.7538
Mn2 Mn 0.5450 0.9489 0.2538
P1 P 0.1956 0.7992 0.5049
P2 P 0.2024 0.1979 0.4786
P3 P 0.2962 0.2854 0.0301
P4 P 0.6945 0.2997 0.0046
P5 P 0.7024 0.6982 0.9785
P6 P 0.7970 0.7855 0.5299
H1 H 0.1100 0.3937 0.2409
H2 H 0.6103 0.8933 0.7414
O1 O 0.0454 0.3187 0.3875
O2 O 0.1588 0.9938 0.5623
O3 O 0.1675 0.4462 0.1250
O4 O 0.2107 0.2789 0.6101
O5 O 0.2133 0.2834 0.8999
O6 O 0.2342 0.6292 0.6327
O7 O 0.3508 0.0822 0.1247
O8 O 0.3647 0.7606 0.3725
O9 O 0.4131 0.1394 0.3851
O10 O 0.4961 0.3376 0.9504
O11 O 0.5452 0.8193 0.8874
O12 O 0.6579 0.4944 0.0617
O13 O 0.6680 0.9458 0.6250
O14 O 0.7107 0.7789 0.1101
O15 O 0.7150 0.7838 0.3990
O16 O 0.7328 0.1303 0.1329
O17 O 0.8511 0.5822 0.6245
O18 O 0.8636 0.2609 0.8722
O19 O 0.9130 0.6394 0.8849
O20 O 0.9974 0.8374 0.4506
```

Largest 10 diffraction maxima, in order of rising 2θ, 10° ≤ 2θ ≤ 90°:
| 2θ/deg | I_rel | h k l |
| --- | --- | --- |
| 14.79 | 52 | 1 0 1 |
| 14.94 | 100 | 0 1 1 |
| 19.90 | 10 | 0 0 2 |
| 29.01 | 10 | 1 -1 2 |
| 29.32 | 8 | 1 2 -1 |
| 29.48 | 10 | -1 1 2 |
| 29.61 | 8 | 2 1 -1 |
| 29.83 | 13 | 2 0 2 |
| 30.07 | 13 | 0 2 2 |
| 30.23 | 14 | 2 2 0 |

Question: Number 3 is which compound?
Answer: Li4Co3Sn2Sb3O16

Question: Which formula does entry 1 have?
Answer: Sr4Fe4Bi5PbO18

What did the first record say?
Diffraction record for Sr4Fe4Bi5PbO18. The powder diffraction line list is simulated, not measured: it uses the GGA+U geometry in the Materials Project and Cu Kα.
No peak broadening, texture or thermal motion is included.

Structure:
```
data_Sr4Fe4Bi5PbO18
_cell_length_a 5.4722
_cell_length_b 5.4725
_cell_length_c 31.2819
_cell_angle_alpha 90.00
_cell_angle_beta 90.00
_cell_angle_gamma 90.00
_space_group_name_H-M_alt 'A m m 2'
_space_group_IT_number 38
_space_group_name_Hall 'A 2 -2'
loop_
_atom_site_label
_atom_site_type_symbol
_atom_site_fract_x
_atom_site_fract_y
_atom_site_fract_z
Sr1 Sr 0.0000 0.0000 0.9999
Sr2 Sr 0.0000 0.0000 0.2424
Sr3 Sr 0.5000 0.0000 0.5000
Sr4 Sr 0.5000 0.0000 0.7428
Fe1 Fe 0.0000 0.0000 0.5555
Fe2 Fe 0.0000 0.0000 0.6844
Fe3 Fe 0.5000 0.0000 0.0586
Fe4 Fe 0.5000 0.0000 0.1855
Bi1 Bi 0.0000 0.0000 0.1191
Bi2 Bi 0.0000 0.0000 0.8281
Bi3 Bi 0.5000 0.0000 0.3280
Bi4 Bi 0.5000 0.0000 0.6210
Bi5 Bi 0.5000 0.0000 0.9154
Pb1 Pb 0.0000 0.0000 0.4154
O1 O 0.0000 0.0000 0.3252
O2 O 0.0000 0.0000 0.4895
O3 O 0.0000 0.0000 0.6212
O4 O 0.0000 0.0000 0.7597
O5 O 0.0000 0.0000 0.9180
O6 O 0.2505 0.2483 0.0591
O7 O 0.2508 0.2492 0.6866
O8 O 0.5000 0.0000 0.1221
O9 O 0.5000 0.0000 0.2593
O10 O 0.5000 0.0000 0.4178
O11 O 0.5000 0.0000 0.8275
O12 O 0.5000 0.0000 0.9848
```

Largest 10 diffraction maxima, in order of rising 2θ, 10° ≤ 2θ ≤ 90°:
| 2θ/deg | I_rel | h k l |
| --- | --- | --- |
| 11.31 | 18 | 0 0 4 |
| 24.54 | 36 | 1 1 3 |
| 27.10 | 16 | 1 1 5 |
| 28.53 | 16 | 0 0 10 |
| 30.56 | 100 | 1 1 7 |
| 32.73 | 69 | 2 0 0 |
| 43.97 | 27 | 2 0 10 |
| 46.96 | 32 | 2 2 0 |
| 55.28 | 16 | 1 1 17 |
| 57.07 | 36 | 3 1 7 |